No. 1
# PrY8Ho3
Calculated X-ray diffraction stick pattern, λ = 1.5418 Å (Cu Kα). Input: a DFT-relaxed cell (GGA-PBE, Alexandria).
Lines closer than 0.1° are merged.

Largest 6 diffraction maxima, in order of falling intensity, 2θ from 5° to 70°:
| 2theta | Rel. int. | h k l |
| --- | --- | --- |
| 32.43 | 100 | 0 2 2 |
| 28.24 | 24 | 3 0 1 |
| 31.54 | 24 | 0 4 0 |
| 60.32 | 22 | 6 4 0 |
| 56.73 | 20 | 0 6 2 |
| 49.99 | 19 | 6 0 0 |

Crystal structure
Cell: 10.947 11.347 6.320 Å, 90.00 90.00 90.00°
Space group Imm2 (No. 44)
One atom of each set of equivalent atoms:
Pr1 0.000 0.000 0.000 (multiplicity 2)
Y1 0.164 0.500 0.496 (multiplicity 4)
Y2 0.166 0.252 0.831 (multiplicity 8)
Y3 0.167 0.000 0.497 (multiplicity 4)
Ho1 0.000 0.252 0.328 (multiplicity 4)
Ho2 0.000 0.500 0.000 (multiplicity 2)



No. 2
# Pr2Y4Ho7
Calculated X-ray diffraction stick pattern, λ = 1.5418 Å (Cu Kα). Input: a DFT-relaxed cell (GGA-PBE, Alexandria).
Lines closer than 0.1° are merged.

Largest 6 diffraction maxima, in order of falling intensity, 2θ from 5° to 70°:
| 2theta | Rel. int. | h k l |
| --- | --- | --- |
| 32.33 | 100 | 2 -1 2 |
| 30.12 | 59 | 2 -1 1 |
| 35.74 | 47 | 1 1 3 |
| 6.62 | 44 | 0 0 1 |
| 52.06 | 29 | 3 0 0 |
| 26.69 | 25 | 0 0 4 |

Crystal structure
Cell: 6.0859 6.0859 13.3581 Å, 90.00 90.00 120.00°
Space group P-31m (No. 162)
One atom of each set of equivalent atoms:
Pr1 0.3333 0.6667 0.0000 (multiplicity 2)
Y1 0.0000 0.0000 0.3948 (multiplicity 2)
Y2 0.3333 0.6667 0.5000 (multiplicity 2)
Ho1 0.0000 0.0000 0.0000 (multiplicity 1)
Ho2 0.0000 0.3536 0.2164 (multiplicity 6)



No. 3
# Pr8YHo3
Calculated X-ray diffraction stick pattern, λ = 1.5418 Å (Cu Kα). Input: a DFT-relaxed cell (GGA-PBE, Alexandria).
Lines closer than 0.1° are merged.

Largest 6 diffraction maxima, in order of falling intensity, 2θ from 5° to 70°:
| 2theta | Rel. int. | h k l |
| --- | --- | --- |
| 31.17 | 100 | 1 3 2 |
| 30.71 | 43 | 2 0 2 |
| 30.13 | 42 | 0 0 4 |
| 34.67 | 22 | 2 2 2 |
| 50.01 | 20 | 3 3 2 |
| 65.05 | 18 | 2 6 4 |

Crystal structure
Cell: 6.684 11.275 11.866 Å, 90.00 90.00 90.00°
Space group I222 (No. 23)
One atom of each set of equivalent atoms:
Pr1 0.000 0.161 0.250 (multiplicity 8)
Pr2 0.248 0.253 0.478 (multiplicity 8)
Y1 0.000 0.000 0.500 (multiplicity 2)
Ho1 0.000 0.000 0.000 (multiplicity 2)
Ho2 0.000 0.500 0.253 (multiplicity 4)



No. 4
# Pr6Y2Ho5
Calculated X-ray diffraction stick pattern, λ = 1.5418 Å (Cu Kα). Input: a DFT-relaxed cell (GGA-PBE, Alexandria).
Lines closer than 0.1° are merged.

Largest 6 diffraction maxima, in order of falling intensity, 2θ from 5° to 70°:
| 2theta | Rel. int. | h k l |
| --- | --- | --- |
| 31.64 | 100 | 2 3 1 |
| 31.17 | 57 | 1 7 0 |
| 30.65 | 44 | 4 1 0 |
| 30.97 | 44 | 1 4 1 |
| 33.71 | 30 | 2 4 1 |
| 34.61 | 22 | 3 6 0 |

Crystal structure
Cell: 11.787 20.709 3.642 Å, 90.00 90.00 90.00°
Space group Pbam (No. 55)
One atom of each set of equivalent atoms:
Pr1 0.059 0.080 0.000 (multiplicity 4)
Pr2 0.083 0.367 0.000 (multiplicity 4)
Pr3 0.174 0.633 0.500 (multiplicity 4)
Y1 0.165 0.789 0.000 (multiplicity 4)
Ho1 0.000 0.500 0.500 (multiplicity 2)
Ho2 0.095 0.226 0.500 (multiplicity 4)
Ho3 0.199 0.944 0.500 (multiplicity 4)